Simulated powder diffraction line list
Compound: NaVS2
Radiation: copper Kα
Structure: DFT lattice parameters and positions (PBE)
Peak positions follow from Bragg's law for the DFT cell and can differ from measured ones.

Top 6 peaks for 10° ≤ 2θ ≤ 80°, in order of rising 2θ:
- (0 0 1), 13.24°, I 57
- (1 0 0), 29.05°, I 18
- (0 1 1), 32.05°, I 54
- (0 1 2), 39.84°, I 100
- (1 1 0), 51.50°, I 38
- (2 0 2), 67.02°, I 18

Cell and atoms:
```
data_NaVS2
_space_group_name_H-M_alt 'P -3 m 1'
_space_group_IT_number 164
_space_group_name_Hall '-P 3 2"'
_cell_length_a 3.5492
_cell_length_b 3.5492
_cell_length_c 6.6880
_cell_angle_alpha 90.00
_cell_angle_beta 90.00
_cell_angle_gamma 120.00
loop_
_atom_site_label
_atom_site_fract_x
_atom_site_fract_y
_atom_site_fract_z
Na1 0.0000 0.0000 0.0000
V1 0.0000 0.0000 0.5000
S1 0.3333 0.6667 0.7020
```


Simulated powder diffraction line list
Compound: NaVS2
Radiation: copper Kα
Structure: DFT lattice parameters and positions (PBE)
Peak positions follow from Bragg's law for the DFT cell and can differ from measured ones.

Top 6 peaks for 10° ≤ 2θ ≤ 80°, in order of rising 2θ:
- (0 0 3), 13.28°, I 60
- (0 1 2), 30.24°, I 39
- (0 1 5), 36.73°, I 100
- (1 0 7), 43.10°, I 26
- (1 1 0), 51.15°, I 40
- (1 0 10), 54.64°, I 19

Cell and atoms:
```
data_NaVS2
_space_group_name_H-M_alt 'R 3 m'
_space_group_IT_number 160
_space_group_name_Hall 'R 3 -2"'
_cell_length_a 3.5716
_cell_length_b 3.5716
_cell_length_c 20.0044
_cell_angle_alpha 90.00
_cell_angle_beta 90.00
_cell_angle_gamma 120.00
loop_
_atom_site_label
_atom_site_fract_x
_atom_site_fract_y
_atom_site_fract_z
Na1 0.0000 0.0000 0.0000
V1 0.0000 0.0000 0.1685
S1 0.0000 0.0000 0.5685
S2 0.0000 0.0000 0.7679
```